Starting from a crystal structure in Alexandria, relaxed with PBE, the X-ray powder pattern of Pr2ErIn3 was calculated for Cu Kα, 1.54184 Å.
Lines closer than 0.1° are merged.

The 10 most intense peaks (15 to 90 degrees two-theta), low angle first:
2θ/deg  d [Å]  I_rel  (hkl)
32.8  2.729  100.0  1 0 3
33.2  2.702  50.2  1 1 0
46.6  1.949  8.5  0 0 6
47.6  1.910  18.1  2 0 0
58.4  1.581  17.2  1 1 6
59.0  1.565  36.5  2 1 3
68.8  1.364  11.4  2 0 6
79.1  1.211  7.8  3 0 3
79.3  1.208  7.9  3 1 0
87.9  1.110  6.5  2 2 6

abc: 3.821 3.821 11.695
angles: 90.00 90.00 90.00
Space group P4/mmm (No. 123)
Asymmetric unit:
Pr 0.000 0.000 0.174
Er 0.000 0.000 0.500
In 0.500 0.500 0.000
In 0.500 0.500 0.349